Starting from DFT lattice parameters and positions (GGA+U), the XRD peak list of Li3Mn3NiO8 was computed for Cu Kα (λ = 1.5418 Å).

Top 10 peaks for 2θ from 10° to 90°, low angle first:
2θ (°), intensity
18.69, 1000
19.76, 657
19.91, 783
20.04, 644
25.84, 535
33.50, 537
36.14, 604
46.06, 495
61.24, 640
64.11, 601

Structure:
Lattice parameters (Å, degrees): 5.8108 5.8108 9.4956 90.32 90.32 119.14
Positions (direct):
Li: 0.0833 0.4300 0.5001
Li: 0.0860 0.9140 0.5000
Li: 0.4300 0.0833 0.0001
Li: 0.4328 0.6110 0.0002
Li: 0.6110 0.4328 0.5002
Li: 0.9140 0.0860 0.0000
Mn: 0.0938 0.9262 0.2293
Mn: 0.0949 0.4292 0.2302
Mn: 0.4292 0.0949 0.7302
Mn: 0.4292 0.5968 0.7294
Mn: 0.5968 0.4292 0.2294
Mn: 0.9262 0.0938 0.7293
Ni: 0.5975 0.9323 0.4509
Ni: 0.9323 0.5975 0.9509
O: 0.1110 0.4241 0.8406
O: 0.1114 0.9525 0.8437
O: 0.2275 0.7403 0.1107
O: 0.2774 0.2924 0.1148
O: 0.2924 0.2774 0.6148
O: 0.2919 0.7783 0.6079
O: 0.4195 0.5781 0.3422
O: 0.4241 0.1110 0.3406
O: 0.5643 0.9133 0.8498
O: 0.5781 0.4195 0.8422
O: 0.7403 0.2275 0.6107
O: 0.7425 0.7735 0.6083
O: 0.7735 0.7425 0.1083
O: 0.7783 0.2919 0.1079
O: 0.9133 0.5643 0.3498
O: 0.9525 0.1114 0.3437

Starting from DFT lattice parameters and positions (GGA+U), the XRD peak list of Li5MnNi4O10 was computed for Cu Kα (λ = 1.5418 Å).

Top 10 peaks for 2θ from 10° to 90°, low angle first:
2θ (°), intensity
18.46, 1000
35.77, 155
36.17, 139
36.57, 132
37.88, 103
43.10, 260
43.96, 240
44.39, 235
63.13, 135
64.06, 130

Structure:
Lattice parameters (Å, degrees): 2.9077 6.5188 9.7326 78.63 88.49 77.39
Positions (direct):
Li: 0.0000 0.0000 0.0000
Li: 0.2015 0.5931 0.6027
Li: 0.3984 0.2051 0.1934
Li: 0.6016 0.7949 0.8066
Li: 0.7985 0.4069 0.3973
Mn: 0.5000 0.0000 0.5000
Ni: 0.1073 0.7950 0.2972
Ni: 0.2874 0.4037 0.9005
Ni: 0.7126 0.5963 0.0995
Ni: 0.8927 0.2050 0.7028
O: 0.0327 0.9109 0.6337
O: 0.1402 0.6792 0.9565
O: 0.2867 0.5041 0.2394
O: 0.3634 0.2778 0.5524
O: 0.4254 0.1238 0.8478
O: 0.5746 0.8762 0.1522
O: 0.6366 0.7222 0.4476
O: 0.7133 0.4959 0.7606
O: 0.8598 0.3208 0.0435
O: 0.9673 0.0891 0.3663

Starting from DFT lattice parameters and positions (GGA+U), the XRD peak list of Li2Mn3NiO8 was computed for Cu Kα (λ = 1.5418 Å).

Top 10 peaks for 2θ from 10° to 90°, low angle first:
2θ (°), intensity
15.10, 405
18.53, 872
21.40, 289
23.97, 434
30.46, 359
35.84, 988
35.96, 1000
43.71, 466
57.80, 344
63.38, 826

Structure:
Lattice parameters (Å, degrees): 8.2765 8.3198 8.2908 90.00 90.24 90.00
Positions (direct):
Li: 0.0035 0.0000 0.2525
Li: 0.1247 0.1256 0.6240
Li: 0.3766 0.8764 0.1262
Li: 0.4955 0.0031 0.7507
Li: 0.5045 0.5031 0.2493
Li: 0.6234 0.3764 0.8738
Li: 0.8753 0.6256 0.3760
Li: 0.9965 0.5000 0.7475
Mn: 0.1233 0.3732 0.3759
Mn: 0.1241 0.6269 0.1225
Mn: 0.1257 0.8739 0.8770
Mn: 0.3732 0.3766 0.6232
Mn: 0.3740 0.6281 0.8771
Mn: 0.3768 0.1305 0.3781
Mn: 0.6232 0.6305 0.6219
Mn: 0.6260 0.1281 0.1229
Mn: 0.6268 0.8766 0.3768
Mn: 0.8743 0.3739 0.1230
Mn: 0.8759 0.1269 0.8775
Mn: 0.8767 0.8732 0.6241
Ni: 0.2476 0.7543 0.4930
Ni: 0.2541 0.2510 0.9976
Ni: 0.7459 0.7510 0.0024
Ni: 0.7524 0.2543 0.5070
O: 0.1029 0.8699 0.6408
O: 0.1102 0.1045 0.8772
O: 0.1103 0.3855 0.1365
O: 0.1204 0.8525 0.1074
O: 0.1232 0.6089 0.3538
O: 0.1341 0.6385 0.8867
O: 0.1392 0.3774 0.6014
O: 0.1461 0.1443 0.3720
O: 0.3559 0.8568 0.8750
O: 0.3581 0.6232 0.1039
O: 0.3642 0.3654 0.3868
O: 0.3746 0.3917 0.8528
O: 0.3809 0.1510 0.6075
O: 0.3849 0.6172 0.6362
O: 0.3954 0.9019 0.3818
O: 0.3989 0.1274 0.1406
O: 0.6011 0.6274 0.8594
O: 0.6046 0.4019 0.6182
O: 0.6151 0.1172 0.3638
O: 0.6191 0.6510 0.3925
O: 0.6254 0.8917 0.1472
O: 0.6358 0.8654 0.6132
O: 0.6419 0.1232 0.8961
O: 0.6441 0.3568 0.1250
O: 0.8539 0.6443 0.6280
O: 0.8608 0.8774 0.3986
O: 0.8659 0.1385 0.1133
O: 0.8768 0.1089 0.6462
O: 0.8796 0.3525 0.8926
O: 0.8898 0.6045 0.1228
O: 0.8897 0.8855 0.8635
O: 0.8971 0.3699 0.3592